Structure and computed powder XRD pattern of RbInSn2Te4 (DFT lattice parameters and positions (GGA-PBE); Cu Kα, 1.54184 Å).
Intensities are scaled so that the largest is 1000.

Most intense lines, 10° ≤ 2θ ≤ 90°, most intense first:
d_spacing	Rel. int.
3.211	1000
3.419	773
2.378	674
3.619	413
7.268	371
2.289	364
1.446	211
3.004	208
2.423	202
1.935	182

Atomic structure:
a b c (Å): 4.578 16.275 16.160
angles (deg): 90.00 90.00 90.00
Space group Cmcm (No. 63)
One atom of each set of equivalent atoms:
1 Rb 0.000 0.121 0.250 [4 per cell]
2 In 0.000 0.166 0.750 [4 per cell]
3 Sn 0.000 0.377 0.053 [8 per cell]
4 Te 0.000 0.000 0.000 [4 per cell]
5 Te 0.000 0.258 0.606 [8 per cell]
6 Te 0.000 0.441 0.250 [4 per cell]

***

Structure and computed powder XRD pattern of Tc6Os3Ru (DFT lattice parameters and positions (GGA-PBE); Cu Kα, 1.54184 Å).
Intensities are scaled so that the largest is 1000.

Most intense lines, 10° ≤ 2θ ≤ 90°, most intense first:
d_spacing	Rel. int.
2.193	1000
2.060	981
2.099	931
2.018	812
2.263	713
2.081	683
1.880	675
2.361	617
2.157	584
2.242	555

Atomic structure:
a b c (Å): 4.885 7.472 8.414
angles (deg): 90.01 93.92 98.01
Space group P1 (No. 1)
One atom of each set of equivalent atoms:
1 Tc 0.000 0.000 0.000 [1 per cell]
2 Tc 0.013 0.321 0.514 [1 per cell]
3 Tc 0.273 0.288 0.836 [1 per cell]
4 Tc 0.301 0.900 0.283 [1 per cell]
5 Tc 0.321 0.232 0.173 [1 per cell]
6 Tc 0.447 0.563 0.064 [1 per cell]
7 Tc 0.466 0.897 0.956 [1 per cell]
8 Tc 0.502 0.508 0.402 [1 per cell]
9 Tc 0.620 0.835 0.556 [1 per cell]
10 Tc 0.739 0.123 0.747 [1 per cell]
11 Tc 0.764 0.477 0.724 [1 per cell]
12 Tc 0.789 0.135 0.277 [1 per cell]
13 Os 0.029 0.500 0.231 [1 per cell]
14 Os 0.032 0.672 0.491 [1 per cell]
15 Os 0.157 0.958 0.685 [1 per cell]
16 Os 0.323 0.626 0.745 [1 per cell]
17 Os 0.744 0.296 0.006 [1 per cell]
18 Os 0.769 0.795 0.238 [1 per cell]
19 Ru 0.452 0.172 0.496 [1 per cell]
20 Ru 0.979 0.662 0.964 [1 per cell]

***

Structure and computed powder XRD pattern of Ti5Zn2In2 (DFT lattice parameters and positions (GGA-PBE); Cu Kα, 1.54184 Å).
Intensities are scaled so that the largest is 1000.

Most intense lines, 10° ≤ 2θ ≤ 90°, most intense first:
d_spacing	Rel. int.
2.243	1000
2.335	632
2.679	578
2.267	421
1.339	261
2.298	225
2.789	176
1.481	166
2.136	162
2.936	149

Atomic structure:
a b c (Å): 5.578 15.526 7.566
angles (deg): 90.00 90.00 90.00
Space group Imma (No. 74)
One atom of each set of equivalent atoms:
1 Ti 0.000 0.169 0.006 [8 per cell]
2 Ti 0.000 0.250 0.358 [4 per cell]
3 Ti 0.250 0.082 0.250 [8 per cell]
4 Zn 0.000 0.000 0.000 [4 per cell]
5 Zn 0.250 0.250 0.750 [4 per cell]
6 In 0.000 0.091 0.604 [8 per cell]